Calculated powder XRD pattern
Compound: MgGaF
Radiation: Cu Ka
Structure: a crystal structure in Alexandria, relaxed with GGA-PBE

Top 12 peaks for 5 to 70 degrees two-theta, by angle:
two_theta, d/Å, I_rel
8.3, 10.685, 100
32.0, 2.799, 6
32.3, 2.768, 10
34.9, 2.574, 47
37.6, 2.395, 22
39.2, 2.301, 27
42.3, 2.137, 7
42.8, 2.113, 20
49.2, 1.853, 10
56.7, 1.622, 20
57.5, 1.604, 6
68.4, 1.372, 6

Structure:
abc: 3.2446 3.2446 32.0537
angles: 90.00 90.00 120.00
Space group R3m (No. 160, hexagonal axes)
One atom of each set of equivalent atoms:
Mg1 0.0000 0.0000 0.0000 (multiplicity 3)
Mg2 0.0000 0.0000 0.4743 (multiplicity 3)
Ga1 0.0000 0.0000 0.2659 (multiplicity 3)
Ga2 0.0000 0.0000 0.8754 (multiplicity 3)
F1 0.0000 0.0000 0.1131 (multiplicity 3)
F2 0.0000 0.0000 0.6948 (multiplicity 3)

=====

Calculated powder XRD pattern
Compound: LiGa3Ag4
Radiation: Cu Ka
Structure: a crystal structure in Alexandria, relaxed with GGA-PBE

Top 12 peaks for 5 to 70 degrees two-theta, by angle:
two_theta, d/Å, I_rel
9.7, 9.150, 58
18.5, 4.803, 14
36.6, 2.454, 100
39.4, 2.288, 54
39.9, 2.257, 56
40.1, 2.247, 30
40.7, 2.215, 42
41.7, 2.167, 32
45.7, 1.983, 35
62.4, 1.488, 13
63.1, 1.474, 14
63.6, 1.463, 12

Structure:
abc: 2.9769 5.0405 9.5111
angles: 77.05 81.01 89.88
Space group P-1 (No. 2)
One atom of each set of equivalent atoms:
Li1 0.0000 0.0000 0.0000 (multiplicity 1)
Ga1 0.3756 0.7049 0.2501 (multiplicity 2)
Ga2 0.5000 0.5000 0.0000 (multiplicity 1)
Ag1 0.1185 0.8032 0.7610 (multiplicity 2)
Ag2 0.2505 0.2520 0.4998 (multiplicity 2)

=====

Calculated powder XRD pattern
Compound: DyCu3
Radiation: Cu Ka
Structure: a crystal structure in Alexandria, relaxed with GGA-PBE

Top 12 peaks for 5 to 70 degrees two-theta, by angle:
two_theta, d/Å, I_rel
24.5, 3.627, 14
29.8, 2.995, 62
33.8, 2.656, 18
35.0, 2.564, 6
39.0, 2.309, 100
42.2, 2.143, 42
50.3, 1.813, 32
58.0, 1.591, 10
59.6, 1.551, 17
62.0, 1.497, 12
63.9, 1.457, 12
67.7, 1.384, 20

Structure:
abc: 3.6265 3.6265 5.3112
angles: 90.00 90.00 90.00
Space group P4mm (No. 99)
One atom of each set of equivalent atoms:
Dy1 0.0000 0.0000 0.0000 (multiplicity 1)
Cu1 0.0000 0.5000 0.5559 (multiplicity 2)
Cu2 0.5000 0.5000 0.2447 (multiplicity 1)

=====

Calculated powder XRD pattern
Compound: Ba3Ni3N5
Radiation: Cu Ka
Structure: a crystal structure in Alexandria, relaxed with GGA-PBE

Top 12 peaks for 5 to 70 degrees two-theta, by angle:
two_theta, d/Å, I_rel
24.2, 3.681, 29
27.5, 3.244, 29
28.2, 3.167, 60
29.4, 3.041, 21
29.7, 3.010, 64
30.4, 2.945, 84
30.8, 2.901, 100
32.4, 2.767, 21
32.9, 2.726, 56
36.1, 2.490, 32
37.6, 2.394, 23
39.7, 2.269, 29

Structure:
abc: 6.3243 7.3913 9.3691
angles: 111.09 107.48 95.17
Space group P-1 (No. 2)
One atom of each set of equivalent atoms:
Ba1 0.0438 0.0336 0.2136 (multiplicity 2)
Ba2 0.2743 0.4751 0.1166 (multiplicity 2)
Ba3 0.2996 0.7126 0.5894 (multiplicity 2)
Ni1 0.1953 0.4105 0.7510 (multiplicity 2)
Ni2 0.3398 0.1679 0.6090 (multiplicity 2)
Ni3 0.4392 0.8456 0.0173 (multiplicity 2)
N1 0.1646 0.6475 0.8838 (multiplicity 2)
N2 0.1706 0.3268 0.5324 (multiplicity 2)
N3 0.3535 0.2354 0.8265 (multiplicity 2)
N4 0.3713 0.1026 0.0952 (multiplicity 2)
N5 0.4168 0.9788 0.4308 (multiplicity 2)

=====

Calculated powder XRD pattern
Compound: Ca3Tb3Pt4
Radiation: Cu Ka
Structure: a crystal structure in Alexandria, relaxed with GGA-PBE

Top 12 peaks for 5 to 70 degrees two-theta, by angle:
two_theta, d/Å, I_rel
15.8, 5.614, 40
16.1, 5.500, 13
34.0, 2.636, 83
34.3, 2.612, 100
35.9, 2.500, 27
36.4, 2.470, 24
46.0, 1.973, 20
46.2, 1.964, 21
59.7, 1.549, 14
67.3, 1.392, 14
68.1, 1.377, 17
69.1, 1.360, 16

Structure:
abc: 3.9462 11.0000 11.2274
angles: 90.00 90.00 90.00
Space group Amm2 (No. 38)
One atom of each set of equivalent atoms:
Ca1 0.0000 0.0000 0.0000 (multiplicity 2)
Ca2 0.5000 0.2463 0.0909 (multiplicity 4)
Tb1 0.0000 0.0000 0.6865 (multiplicity 2)
Tb2 0.0000 0.1577 0.3429 (multiplicity 4)
Pt1 0.5000 0.0000 0.2161 (multiplicity 2)
Pt2 0.5000 0.0000 0.4839 (multiplicity 2)
Pt3 0.5000 0.1406 0.8338 (multiplicity 4)

=====

Calculated powder XRD pattern
Compound: MnCoTeS
Radiation: Cu Ka
Structure: a crystal structure in Alexandria, relaxed with GGA-PBE

Top 12 peaks for 5 to 70 degrees two-theta, by angle:
two_theta, d/Å, I_rel
13.7, 6.458, 100
27.6, 3.229, 14
29.8, 3.003, 53
29.9, 2.987, 45
30.1, 2.972, 15
38.4, 2.346, 22
38.7, 2.327, 40
46.5, 1.954, 18
46.6, 1.948, 35
48.7, 1.870, 16
50.1, 1.821, 14
50.4, 1.810, 13

Structure:
abc: 6.7400 3.9071 6.4583
angles: 90.00 90.74 90.00
Space group Cm (No. 8)
One atom of each set of equivalent atoms:
Mn1 0.0000 0.0000 0.0000 (multiplicity 2)
Co1 0.1669 0.5000 0.1975 (multiplicity 2)
Te1 0.3349 0.0000 0.3474 (multiplicity 2)
S1 0.1638 0.5000 0.8611 (multiplicity 2)